Starting from a GGA+U-relaxed structure, the X-ray diffraction stick pattern of V3P2O8 was computed for Cu Kα (weighted mean of Kα1 and Kα2).
No peak broadening, texture or thermal motion is included.

Cell and atoms:
Lattice parameters (Å, degrees): 8.8313 11.4326 6.4051 90.00 99.49 90.00
Fractional coordinates of all 52 atoms:
V: 0.0762 0.1170 0.1273
V: 0.0762 0.3830 0.6273
V: 0.2816 0.0905 0.6625
V: 0.2816 0.4095 0.1625
V: 0.3539 0.6896 0.6197
V: 0.3539 0.8104 0.1197
V: 0.6461 0.1896 0.8803
V: 0.6461 0.3104 0.3803
V: 0.7184 0.5905 0.8375
V: 0.7184 0.9095 0.3375
V: 0.9238 0.6170 0.3727
V: 0.9238 0.8830 0.8727
P: 0.0882 0.6322 0.8866
P: 0.0882 0.8678 0.3866
P: 0.3999 0.0887 0.1907
P: 0.3999 0.4113 0.6907
P: 0.6001 0.5887 0.3093
P: 0.6001 0.9113 0.8093
P: 0.9118 0.1322 0.6134
P: 0.9118 0.3678 0.1134
O: 0.0664 0.1950 0.5956
O: 0.0664 0.3050 0.0956
O: 0.0709 0.5668 0.6691
O: 0.0709 0.9332 0.1691
O: 0.1394 0.5566 0.0822
O: 0.1394 0.9434 0.5822
O: 0.2135 0.7265 0.8679
O: 0.2135 0.7735 0.3679
O: 0.2770 0.0738 0.9874
O: 0.2770 0.4262 0.4874
O: 0.3008 0.1346 0.3523
O: 0.3008 0.3654 0.8523
O: 0.4777 0.5313 0.7548
O: 0.4777 0.9687 0.2548
O: 0.4794 0.6828 0.3426
O: 0.4794 0.8172 0.8426
O: 0.5206 0.1828 0.1574
O: 0.5206 0.3172 0.6574
O: 0.5223 0.0313 0.7452
O: 0.5223 0.4687 0.2452
O: 0.6992 0.6346 0.1477
O: 0.6992 0.8654 0.6477
O: 0.7230 0.5738 0.5126
O: 0.7230 0.9262 0.0126
O: 0.7865 0.2265 0.6321
O: 0.7865 0.2735 0.1321
O: 0.8606 0.0566 0.4178
O: 0.8606 0.4434 0.9178
O: 0.9291 0.0668 0.8309
O: 0.9291 0.4332 0.3309
O: 0.9336 0.6950 0.9044
O: 0.9336 0.8050 0.4044

Principal peaks in the range 2θ from 10° to 90°, by intensity:
25.51 deg, d 3.491, I 100.0, hkl 1 3 0
31.03 deg, d 2.882, I 72.4, hkl 2 2 1
32.70 deg, d 2.739, I 71.6, hkl 3 1 -1
28.42 deg, d 3.140, I 59.9, hkl 1 0 -2
36.98 deg, d 2.431, I 38.5, hkl 3 1 1
31.19 deg, d 2.868, I 37.6, hkl 2 3 0
30.05 deg, d 2.974, I 36.3, hkl 1 3 1
31.30 deg, d 2.858, I 34.4, hkl 0 4 0